Diffraction record for MnGaFeCo. The powder diffractogram is calculated, not measured: it uses a PBE-relaxed structure and Cu Kα.
Lines closer than 0.1° are merged.

Most intense lines, 10 to 90 degrees two-theta, low angle first:
| 2θ (°) | I (rel.) |
| --- | --- |
| 42.79 | 100 |
| 49.16 | 16 |
| 49.62 | 16 |
| 50.67 | 15 |
| 72.44 | 9 |
| 73.28 | 9 |
| 73.64 | 9 |
| 87.61 | 11 |
| 88.31 | 11 |
| 89.92 | 10 |

Atomic structure:
```
MnGaFeCo
1.0
3.6033 0.0000 0.0000
0.0000 3.6741 0.0000
0.0000 0.0000 3.7066
Mn Ga Fe Co
1 1 1 1
Direct
0.0000 0.0000 0.0000
0.5000 0.0000 0.5000
0.5000 0.5000 0.0000
0.0000 0.5000 0.5000
```

Diffraction record for RbNpI3. The powder diffractogram is calculated, not measured: it uses a PBE-relaxed structure and Cu Kα.
Lines closer than 0.1° are merged.

Most intense lines, 10 to 90 degrees two-theta, low angle first:
| 2θ (°) | I (rel.) |
| --- | --- |
| 14.27 | 77 |
| 20.23 | 35 |
| 24.85 | 23 |
| 28.77 | 100 |
| 32.25 | 45 |
| 41.13 | 76 |
| 43.75 | 25 |
| 50.97 | 27 |
| 67.48 | 35 |
| 74.96 | 26 |

Atomic structure:
```
RbNpI3
1.0
6.2071 0.0000 0.0000
0.0000 6.2071 0.0000
0.0000 0.0000 6.2071
Rb Np I
1 1 3
Direct
0.0000 0.0000 0.0000
0.5000 0.5000 0.5000
0.0000 0.5000 0.5000
0.5000 0.0000 0.5000
0.5000 0.5000 0.0000
```

Diffraction record for Sc3SeBr3. The powder diffractogram is calculated, not measured: it uses a PBE-relaxed structure and Cu Kα.
Lines closer than 0.1° are merged.

Most intense lines, 10 to 90 degrees two-theta, low angle first:
| 2θ (°) | I (rel.) |
| --- | --- |
| 11.31 | 11 |
| 27.93 | 37 |
| 32.36 | 100 |
| 46.42 | 68 |
| 55.05 | 19 |
| 57.72 | 22 |
| 67.74 | 10 |
| 74.79 | 9 |
| 77.09 | 26 |
| 86.09 | 20 |

Atomic structure:
```
Sc3SeBr3
1.0
-5.5331 5.5331 5.5331
5.5331 -5.5331 5.5331
5.5331 5.5331 -5.5331
Sc Se Br
12 4 12
Direct
0.0166 0.0332 0.2666
0.0166 0.4834 0.7500
0.0332 0.2666 0.0166
0.2334 0.2666 0.7500
0.2334 0.4668 0.4834
0.2666 0.0166 0.0332
0.2666 0.7500 0.2334
0.4668 0.4834 0.2334
0.4834 0.2334 0.4668
0.4834 0.7500 0.0166
0.7500 0.0166 0.4834
0.7500 0.2334 0.2666
0.0000 0.2500 0.5000
0.2500 0.2500 0.2500
0.2500 0.5000 0.0000
0.5000 0.0000 0.2500
0.2500 0.7521 0.7479
0.2500 0.9979 0.5021
0.5021 0.2500 0.9979
0.5021 0.7521 0.5042
0.5042 0.5021 0.7521
0.7479 0.2500 0.7521
0.7479 0.9979 0.9958
0.7521 0.5042 0.5021
0.7521 0.7479 0.2500
0.9958 0.7479 0.9979
0.9979 0.5021 0.2500
0.9979 0.9958 0.7479
```

Diffraction record for SrMg2CdAg2. The powder diffractogram is calculated, not measured: it uses a PBE-relaxed structure and Cu Kα.
Lines closer than 0.1° are merged.

Most intense lines, 10 to 90 degrees two-theta, low angle first:
| 2θ (°) | I (rel.) |
| --- | --- |
| 12.14 | 13 |
| 24.57 | 46 |
| 32.61 | 100 |
| 37.30 | 76 |
| 43.07 | 17 |
| 50.37 | 28 |
| 64.05 | 16 |
| 64.32 | 26 |
| 67.27 | 13 |
| 88.61 | 11 |

Atomic structure:
```
SrMg2CdAg2
1.0
4.8215 0.0000 0.0000
-2.4108 4.1756 0.0000
0.0000 0.0000 7.2894
Sr Mg Cd Ag
1 2 1 2
Direct
0.0000 0.0000 0.0000
0.3333 0.6667 0.6679
0.6667 0.3333 0.3321
0.0000 0.0000 0.5000
0.3333 0.6667 0.2762
0.6667 0.3333 0.7238
```

Diffraction record for Mg5In2IrRh2. The powder diffractogram is calculated, not measured: it uses a PBE-relaxed structure and Cu Kα.
Lines closer than 0.1° are merged.

Most intense lines, 10 to 90 degrees two-theta, low angle first:
| 2θ (°) | I (rel.) |
| --- | --- |
| 22.69 | 32 |
| 25.41 | 83 |
| 28.73 | 34 |
| 33.32 | 17 |
| 36.24 | 20 |
| 36.92 | 30 |
| 38.73 | 100 |
| 41.31 | 15 |
| 49.32 | 17 |
| 56.77 | 15 |

Atomic structure:
```
Mg5In2IrRh2
1.0
11.0856 0.0000 0.0000
0.0000 11.0856 0.0000
0.0000 0.0000 3.1069
Mg In Ir Rh
10 4 2 4
Direct
0.0000 0.5000 0.0000
0.0498 0.1913 0.0000
0.1913 0.9502 0.0000
0.3087 0.4502 0.0000
0.4502 0.6913 0.0000
0.5000 0.0000 0.0000
0.5498 0.3087 0.0000
0.6913 0.5498 0.0000
0.8087 0.0498 0.0000
0.9502 0.8087 0.0000
0.1825 0.6825 0.5000
0.3175 0.1825 0.5000
0.6825 0.8175 0.5000
0.8175 0.3175 0.5000
0.0000 0.0000 0.5000
0.5000 0.5000 0.5000
0.1390 0.3610 0.5000
0.3610 0.8610 0.5000
0.6390 0.1390 0.5000
0.8610 0.6390 0.5000
```

Diffraction record for AcAg6Sn2. The powder diffractogram is calculated, not measured: it uses a PBE-relaxed structure and Cu Kα.
Lines closer than 0.1° are merged.

Most intense lines, 10 to 90 degrees two-theta, low angle first:
| 2θ (°) | I (rel.) |
| --- | --- |
| 27.14 | 37 |
| 28.39 | 33 |
| 33.19 | 93 |
| 35.07 | 41 |
| 38.00 | 100 |
| 40.05 | 61 |
| 52.67 | 26 |
| 54.83 | 34 |
| 65.62 | 24 |
| 74.11 | 24 |

Atomic structure:
```
AcAg6Sn2
1.0
4.7355 0.0000 0.0000
0.0000 4.7355 0.0000
0.0000 0.0000 9.1223
Ac Ag Sn
1 6 2
Direct
0.0000 0.0000 0.0000
0.0000 0.0000 0.5000
0.0000 0.5000 0.3188
0.0000 0.5000 0.6812
0.5000 0.0000 0.3188
0.5000 0.0000 0.6812
0.5000 0.5000 0.5000
0.5000 0.5000 0.1566
0.5000 0.5000 0.8434
```

Diffraction record for Li3ErU3Se8. The powder diffractogram is calculated, not measured: it uses a PBE-relaxed structure and Cu Kα.
Lines closer than 0.1° are merged.

Most intense lines, 10 to 90 degrees two-theta, low angle first:
| 2θ (°) | I (rel.) |
| --- | --- |
| 13.55 | 69 |
| 25.73 | 51 |
| 31.30 | 100 |
| 34.25 | 25 |
| 44.61 | 38 |
| 45.10 | 37 |
| 46.84 | 20 |
| 55.51 | 20 |
| 73.85 | 17 |
| 74.56 | 17 |

Atomic structure:
```
Li3ErU3Se8
1.0
4.0620 2.3452 6.5333
-4.0620 2.3452 6.5333
0.0000 -4.6904 6.5333
Li Er U Se
3 1 3 8
Direct
0.0000 0.5000 0.5000
0.5000 0.0000 0.5000
0.5000 0.5000 0.0000
0.5000 0.5000 0.5000
0.0000 0.0000 0.5000
0.0000 0.5000 0.0000
0.5000 0.0000 0.0000
0.2511 0.2511 0.7471
0.2511 0.7471 0.2511
0.2532 0.2532 0.2532
0.2529 0.7489 0.7489
0.7471 0.2511 0.2511
0.7468 0.7468 0.7468
0.7489 0.2529 0.7489
0.7489 0.7489 0.2529
```

Diffraction record for UAgAs2O8. The powder diffractogram is calculated, not measured: it uses a PBE-relaxed structure and Cu Kα.
Lines closer than 0.1° are merged.

Most intense lines, 10 to 90 degrees two-theta, low angle first:
| 2θ (°) | I (rel.) |
| --- | --- |
| 17.95 | 89 |
| 22.17 | 81 |
| 31.35 | 87 |
| 31.77 | 100 |
| 41.16 | 23 |
| 45.24 | 50 |
| 50.65 | 17 |
| 56.07 | 40 |
| 63.30 | 17 |
| 74.57 | 18 |

Atomic structure:
```
UAgAs2O8
1.0
5.7064 0.0000 0.0000
-2.8532 4.9419 0.0000
0.0000 0.0000 6.8558
U Ag As O
1 1 2 8
Direct
0.0000 0.0000 0.0000
0.0000 0.0000 0.5000
0.3333 0.6667 0.7053
0.6667 0.3333 0.2947
0.1724 0.3448 0.8111
0.1724 0.8276 0.8111
0.3333 0.6667 0.4640
0.3448 0.1724 0.1889
0.6552 0.8276 0.8111
0.6667 0.3333 0.5360
0.8276 0.1724 0.1889
0.8276 0.6552 0.1889
```